Entry 1:
Starting from a DFT-relaxed cell (PBE, Alexandria), the PXRD pattern of NaCeCd3 was computed for Cu Kα.
Intensities are scaled so that the largest is 100.

The 12 most intense peaks (2θ from 10° to 90°), in order of rising 2θ:
| 2θ (°) | Rel. int. |
| --- | --- |
| 28.40 | 100.0 |
| 31.10 | 21.6 |
| 32.31 | 57.5 |
| 32.98 | 65.3 |
| 33.57 | 58.9 |
| 43.55 | 50.4 |
| 44.07 | 57.5 |
| 44.54 | 49.8 |
| 58.78 | 17.9 |
| 65.50 | 14.1 |
| 67.76 | 13.4 |
| 69.05 | 14.3 |

Crystal structure
a = 8.9425 Å, b = 8.9425 Å, c = 5.3392 Å
α = 106.17°, β = 106.17°, γ = 41.15°
Atoms (fractional coordinates):
Na  0.1417  0.1417  0.3713
Na  0.8583  0.8583  0.6287
Ce  0.4476  0.4476  0.1559
Ce  0.5524  0.5524  0.8441
Cd  0.0448  0.0448  0.7827
Cd  0.2393  0.2393  0.9622
Cd  0.3356  0.3356  0.5521
Cd  0.6644  0.6644  0.4479
Cd  0.7607  0.7607  0.0378
Cd  0.9552  0.9552  0.2173

Entry 2:
Starting from a DFT-relaxed cell (PBE, Alexandria), the PXRD pattern of Ho8Co2Rh was computed for Cu Kα.
Intensities are scaled so that the largest is 100.

The 12 most intense peaks (2θ from 10° to 90°), in order of rising 2θ:
| 2θ (°) | Rel. int. |
| --- | --- |
| 27.39 | 31.2 |
| 27.84 | 39.0 |
| 31.29 | 75.4 |
| 31.39 | 64.9 |
| 32.17 | 83.8 |
| 33.27 | 100.0 |
| 34.51 | 75.2 |
| 35.26 | 38.9 |
| 36.40 | 32.8 |
| 37.52 | 54.4 |
| 40.34 | 64.6 |
| 41.66 | 25.4 |

Crystal structure
a = 7.3503 Å, b = 7.3503 Å, c = 5.8873 Å
α = 99.87°, β = 99.87°, γ = 113.42°
Atoms (fractional coordinates):
Ho  0.0000  0.0000  0.0000
Ho  0.0259  0.2882  0.5848
Ho  0.1472  0.5801  0.1844
Ho  0.2882  0.0259  0.5848
Ho  0.4420  0.7052  0.7777
Ho  0.5801  0.1472  0.1844
Ho  0.7052  0.4420  0.7777
Ho  0.7251  0.7251  0.3694
Co  0.0570  0.6747  0.6847
Co  0.6747  0.0570  0.6847
Rh  0.3608  0.3608  0.3205

Entry 3:
Starting from a DFT-relaxed cell (PBE, Alexandria), the PXRD pattern of Sr6MgZn was computed for Cu Kα.
Intensities are scaled so that the largest is 100.

The 12 most intense peaks (2θ from 10° to 90°), in order of rising 2θ:
| 2θ (°) | Rel. int. |
| --- | --- |
| 23.22 | 23.3 |
| 25.92 | 16.2 |
| 27.69 | 100.0 |
| 30.64 | 53.1 |
| 33.95 | 11.7 |
| 40.56 | 19.6 |
| 43.89 | 21.1 |
| 49.40 | 12.6 |
| 51.68 | 9.6 |
| 52.69 | 32.6 |
| 68.20 | 9.5 |
| 72.44 | 8.6 |

Crystal structure
a = 5.8349 Å, b = 5.8349 Å, c = 20.6238 Å
α = 90.00°, β = 90.00°, γ = 90.00°
Atoms (fractional coordinates):
Sr  0.0000  0.0000  0.2484
Sr  0.0000  0.0000  0.7516
Sr  0.0000  0.5000  0.0954
Sr  0.0000  0.5000  0.4046
Sr  0.0000  0.5000  0.5954
Sr  0.0000  0.5000  0.9046
Sr  0.5000  0.0000  0.0954
Sr  0.5000  0.0000  0.4046
Sr  0.5000  0.0000  0.5954
Sr  0.5000  0.0000  0.9046
Sr  0.5000  0.5000  0.2516
Sr  0.5000  0.5000  0.7484
Mg  0.0000  0.0000  0.0000
Mg  0.5000  0.5000  0.5000
Zn  0.0000  0.0000  0.5000
Zn  0.5000  0.5000  0.0000